1.
Starting from a cell relaxed with GGA+U, the X-ray diffraction stick pattern of CaFeGe2O6 was simulated for a wavelength of 1.5418 Å.

Atomic structure:
Cell lengths 5.5144, 9.1669, 10.3337 Å; angles 88.93, 75.90, 89.70 degrees
Sites, in units of the cell vectors:
Ca: 0.2486 0.3034 0.9996
Ca: 0.2485 0.8028 0.4995
Ca: 0.7515 0.1972 0.5005
Ca: 0.7514 0.6966 0.0004
Fe: 0.2506 0.4088 0.4999
Fe: 0.2511 0.9096 0.9998
Fe: 0.7489 0.0904 0.0002
Fe: 0.7494 0.5912 0.5001
Ge: 0.2270 0.0966 0.7138
Ge: 0.2272 0.5965 0.2137
Ge: 0.2721 0.0993 0.2853
Ge: 0.2720 0.5996 0.7856
Ge: 0.7280 0.4004 0.2144
Ge: 0.7279 0.9007 0.7147
Ge: 0.7728 0.4035 0.7863
Ge: 0.7730 0.9034 0.2862
O: 0.0245 0.4656 0.8574
O: 0.0245 0.9654 0.3571
O: 0.1439 0.0921 0.8885
O: 0.1448 0.5914 0.3883
O: 0.1494 0.2569 0.3662
O: 0.1495 0.7565 0.8672
O: 0.3454 0.7576 0.1318
O: 0.3455 0.2581 0.6326
O: 0.3611 0.0947 0.1114
O: 0.3608 0.5947 0.6119
O: 0.4775 0.4674 0.1416
O: 0.4776 0.9675 0.6418
O: 0.5224 0.0325 0.3582
O: 0.5225 0.5326 0.8584
O: 0.6392 0.4053 0.3881
O: 0.6389 0.9053 0.8886
O: 0.6545 0.7419 0.3674
O: 0.6546 0.2424 0.8682
O: 0.8505 0.2435 0.1328
O: 0.8506 0.7431 0.6338
O: 0.8552 0.4086 0.6117
O: 0.8561 0.9079 0.1115
O: 0.9755 0.0346 0.6429
O: 0.9755 0.5344 0.1426

Top 10 peaks for 15° ≤ 2θ ≤ 90°, in order of falling intensity:
2theta  d (Å)  I/Imax
33.5  2.677  1000
28.6  3.121  856
33.8  2.654  633
29.1  3.074  597
28.3  3.157  270
25.6  3.480  267
34.0  2.633  171
43.1  2.101  162
19.4  4.586  143
52.6  1.740  138

***

2.
Starting from a cell relaxed with GGA+U, the X-ray diffraction stick pattern of MgZn2AgWO6 was simulated for a wavelength of 1.5418 Å.

Atomic structure:
Cell lengths 5.5008, 5.8559, 5.8779 Å; angles 117.57, 104.85, 101.17 degrees
Sites, in units of the cell vectors:
Mg: 0.0000 0.0000 0.0000
Zn: 0.3888 0.7240 0.0145
Zn: 0.5710 0.2271 0.9168
Ag: 0.4989 0.4661 0.4798
W: 0.9816 0.9665 0.4761
O: 0.1455 0.8270 0.2108
O: 0.2231 0.9129 0.7738
O: 0.3071 0.3453 0.6935
O: 0.6635 0.5956 0.2570
O: 0.7493 0.0344 0.1945
O: 0.8315 0.1238 0.7532

Top 10 peaks for 15° ≤ 2θ ≤ 90°, in order of falling intensity:
2theta  d (Å)  I/Imax
30.2  2.961  1000
20.5  4.339  888
25.8  3.456  830
29.6  3.015  785
32.1  2.792  680
31.2  2.870  675
50.7  1.801  385
20.0  4.431  382
37.6  2.390  344
36.3  2.476  309

***

3.
Starting from a cell relaxed with GGA+U, the X-ray diffraction stick pattern of Li4V2Fe5O12 was simulated for a wavelength of 1.5418 Å.

Atomic structure:
Cell lengths 5.1241, 9.0623, 9.9731 Å; angles 90.00, 101.66, 90.00 degrees
Sites, in units of the cell vectors:
Li: 0.0017 0.0000 0.2490
Li: 0.0130 0.1614 0.7576
Li: 0.2581 0.0045 0.9970
Li: 0.4929 0.1631 0.2456
Li: 0.5071 0.6631 0.7544
Li: 0.7419 0.5045 0.0030
Li: 0.9870 0.6614 0.2424
Li: 0.9983 0.5000 0.7510
V: 0.2546 0.3381 0.0070
V: 0.2547 0.8366 0.5057
V: 0.7453 0.3366 0.4943
V: 0.7454 0.8381 0.9930
Fe: 0.0084 0.8372 0.7520
Fe: 0.2516 0.1607 0.5080
Fe: 0.2539 0.6580 0.0072
Fe: 0.2612 0.5050 0.5018
Fe: 0.4936 0.8277 0.2467
Fe: 0.5064 0.3277 0.7533
Fe: 0.7388 0.0050 0.4982
Fe: 0.7461 0.1580 0.9928
Fe: 0.7484 0.6607 0.4920
Fe: 0.9916 0.3372 0.2480
O: 0.0984 0.8227 0.1102
O: 0.1106 0.9923 0.6214
O: 0.1147 0.1839 0.1259
O: 0.1159 0.4900 0.1177
O: 0.1165 0.3440 0.6155
O: 0.1356 0.6744 0.6284
O: 0.3464 0.6781 0.3858
O: 0.3613 0.4921 0.8906
O: 0.3621 0.3340 0.3851
O: 0.3764 0.1845 0.8897
O: 0.3795 0.9957 0.3766
O: 0.3853 0.8196 0.8848
O: 0.6147 0.3196 0.1152
O: 0.6205 0.4957 0.6234
O: 0.6236 0.6845 0.1103
O: 0.6379 0.8340 0.6149
O: 0.6387 0.9921 0.1094
O: 0.6536 0.1781 0.6142
O: 0.8644 0.1744 0.3716
O: 0.8835 0.8440 0.3845
O: 0.8841 0.9900 0.8823
O: 0.8853 0.6839 0.8741
O: 0.8894 0.4923 0.3786
O: 0.9016 0.3227 0.8898

Top 10 peaks for 15° ≤ 2θ ≤ 90°, in order of falling intensity:
2theta  d (Å)  I/Imax
42.3  2.137  1000
62.5  1.486  508
43.8  2.068  456
36.8  2.441  417
18.2  4.884  390
23.6  3.763  306
61.3  1.511  270
78.4  1.220  228
20.7  4.298  199
19.6  4.531  197

***

4.
Starting from a cell relaxed with GGA+U, the X-ray diffraction stick pattern of Li9Mn2Co5O16 was simulated for a wavelength of 1.5418 Å.

Atomic structure:
Cell lengths 5.1509, 2.8877, 19.3038 Å; angles 90.00, 96.45, 90.00 degrees
Sites, in units of the cell vectors:
Li: 0.0000 0.0000 0.0000
Li: 0.0000 0.5000 0.5000
Li: 0.1247 0.0000 0.3747
Li: 0.2536 0.5000 0.2508
Li: 0.3686 0.0000 0.1214
Li: 0.5000 0.5000 0.0000
Li: 0.6314 0.0000 0.8786
Li: 0.7464 0.5000 0.7492
Li: 0.8753 0.0000 0.6253
Mn: 0.1130 0.5000 0.8782
Mn: 0.8870 0.5000 0.1218
Co: 0.2498 0.0000 0.7496
Co: 0.3723 0.5000 0.6256
Co: 0.5000 0.0000 0.5000
Co: 0.6277 0.5000 0.3744
Co: 0.7502 0.0000 0.2504
O: 0.0467 0.0000 0.1812
O: 0.0796 0.5000 0.6910
O: 0.1590 0.5000 0.0687
O: 0.1963 0.0000 0.5668
O: 0.2980 0.0000 0.9306
O: 0.3402 0.5000 0.4430
O: 0.3989 0.5000 0.8106
O: 0.4460 0.0000 0.3157
O: 0.5540 0.0000 0.6843
O: 0.6011 0.5000 0.1894
O: 0.6598 0.5000 0.5570
O: 0.7020 0.0000 0.0694
O: 0.8037 0.0000 0.4332
O: 0.8410 0.5000 0.9313
O: 0.9204 0.5000 0.3090
O: 0.9533 0.0000 0.8188

Top 10 peaks for 15° ≤ 2θ ≤ 90°, in order of falling intensity:
2theta  d (Å)  I/Imax
18.4  4.812  1000
44.1  2.052  530
42.7  2.117  291
36.3  2.474  259
35.4  2.537  152
63.0  1.475  149
63.2  1.472  149
58.2  1.585  95
47.6  1.909  92
37.7  2.386  73